# V4O3F9
Calculated XRD peak list, Cu Kα, 1.54184 Å. Input: a GGA+U-relaxed structure.
Intensities are scaled so that the largest is 1000.

The 10 most intense peaks (10° ≤ 2θ ≤ 90°), by intensity:
- hkl 0 1 3, 2θ = 23.5°, rel. 1000
- hkl 1 1 -2, 2θ = 23.4°, rel. 482
- hkl 1 2 -7, 2θ = 53.6°, rel. 138
- hkl 1 1 -6, 2θ = 39.4°, rel. 126
- hkl 2 0 6, 2θ = 48.0°, rel. 114
- hkl 0 2 6, 2θ = 48.2°, rel. 113
- hkl 2 2 -4, 2θ = 47.8°, rel. 111
- hkl 0 1 -5, 2θ = 33.1°, rel. 109
- hkl 1 -1 8, 2θ = 53.7°, rel. 97
- hkl 2 1 1, 2θ = 33.6°, rel. 75

Cell and atoms:
a = 5.330 Å, b = 5.404 Å, c = 17.579 Å
α = 82.59°, β = 81.79°, γ = 60.71°
Space group P1 (No. 1)
Inequivalent atoms, fractional coordinates:
V1 0.000 0.000 0.000
V2 0.098 0.124 0.624
V3 0.226 0.281 0.255
V4 0.347 0.348 0.877
V5 0.464 0.529 0.503
V6 0.591 0.647 0.120
V7 0.732 0.718 0.745
V8 0.834 0.894 0.367
O1 0.101 0.569 0.306
O2 0.174 0.168 0.918
O3 0.349 0.799 0.559
O4 0.358 0.801 0.051
O5 0.596 0.062 0.300
O6 0.841 0.451 0.689
F1 0.072 0.080 0.334
F2 0.100 0.685 0.937
F3 0.104 0.552 0.792
F4 0.110 0.689 0.450
F5 0.322 0.313 0.580
F6 0.344 0.955 0.710
F7 0.360 0.932 0.195
F8 0.415 0.406 0.166
F9 0.561 0.572 0.833
F10 0.606 0.182 0.442
F11 0.621 0.211 0.956
F12 0.623 0.054 0.809
F13 0.645 0.667 0.415
F14 0.821 0.841 0.086
F15 0.851 0.300 0.540
F16 0.871 0.439 0.201
F17 0.873 0.935 0.668
F18 0.883 0.329 0.059